# NaVSb2O8
Computed powder X-ray diffraction pattern, Cu Kα, 1.54184 Å. Input: DFT lattice parameters and positions (GGA+U).
Lines closer than 0.1° are merged.

Structure:
```
NaVSb2O8
1.0
3.284 -3.472 0.000
3.284 3.472 0.000
0.000 0.000 6.243
Na V Sb O
1 1 2 8
Direct
0.000 0.000 0.000
0.000 0.000 0.500
0.500 0.500 0.250
0.500 0.500 0.750
0.197 0.197 0.289
0.197 0.197 0.711
0.303 0.697 0.500
0.318 0.682 0.000
0.682 0.318 0.000
0.697 0.303 0.500
0.803 0.803 0.289
0.803 0.803 0.711
```

Peak list (10 most intense, 15° ≤ 2θ ≤ 90°, low angle first)
2θ (°)	d [Å]	Rel. int.
18.60	4.771	89
25.66	3.472	82
27.16	3.284	69
34.33	2.612	100
37.71	2.386	25
38.80	2.321	35
43.34	2.088	21
51.06	1.789	52
52.75	1.735	57
65.92	1.417	31